1.
Structure and calculated PXRD pattern of Li2CoSn3P6O24 (a cell relaxed with GGA+U; a wavelength of 1.5418 Å).

Peak list (10 most intense, 10° ≤ 2θ ≤ 80°, in order of falling intensity)
2θ = 20.2°, intensity 100
2θ = 20.5°, intensity 81
2θ = 23.9°, intensity 66
2θ = 28.9°, intensity 57
2θ = 32.3°, intensity 48
2θ = 35.7°, intensity 37
2θ = 35.9°, intensity 35
2θ = 14.4°, intensity 29
2θ = 56.2°, intensity 24
2θ = 46.3°, intensity 22

Atomic structure:
```
Li2CoSn3P6O24
1.0
4.3335 2.5019 7.2279
-4.3335 2.5019 7.2279
0.0000 -5.0039 7.2279
Li Co Sn P O
2 1 3 6 24
Direct
0.0000 0.0000 0.0000
0.4846 0.4846 0.4846
0.1263 0.1263 0.1263
0.3391 0.3391 0.3391
0.6260 0.6260 0.6260
0.8409 0.8409 0.8409
0.0286 0.7416 0.4323
0.2332 0.5153 0.9420
0.4323 0.0286 0.7416
0.5153 0.9420 0.2332
0.7416 0.4323 0.0286
0.9420 0.2332 0.5153
0.0458 0.9105 0.2453
0.0719 0.7091 0.9212
0.0914 0.2913 0.4938
0.1817 0.3552 0.9797
0.2184 0.5752 0.4132
0.2453 0.0458 0.9105
0.2913 0.4938 0.0914
0.3552 0.9797 0.1817
0.3988 0.5342 0.7491
0.4132 0.2184 0.5752
0.4631 0.8689 0.6907
0.4938 0.0914 0.2913
0.5342 0.7491 0.3988
0.5752 0.4132 0.2184
0.5976 0.9946 0.7831
0.6907 0.4631 0.8689
0.7091 0.9212 0.0719
0.7491 0.3988 0.5342
0.7831 0.5976 0.9946
0.8689 0.6907 0.4631
0.9105 0.2453 0.0458
0.9212 0.0719 0.7091
0.9797 0.1817 0.3552
0.9946 0.7831 0.5976
```

2.
Structure and calculated PXRD pattern of MgNiAsO5 (a cell relaxed with GGA+U; a wavelength of 1.5418 Å).

Peak list (10 most intense, 10° ≤ 2θ ≤ 80°, in order of falling intensity)
2θ = 28.4°, intensity 100
2θ = 34.8°, intensity 95
2θ = 37.7°, intensity 82
2θ = 34.2°, intensity 79
2θ = 15.9°, intensity 75
2θ = 18.6°, intensity 70
2θ = 58.9°, intensity 55
2θ = 26.1°, intensity 54
2θ = 35.7°, intensity 51
2θ = 32.1°, intensity 43

Atomic structure:
```
MgNiAsO5
1.0
5.8049 0.0000 0.0000
0.0000 7.4880 0.0000
0.0000 0.0000 8.3854
Mg Ni As O
4 4 4 20
Direct
0.0271 0.1663 0.3207
0.4729 0.8337 0.8207
0.5271 0.3337 0.6793
0.9729 0.6663 0.1793
0.2432 0.7558 0.5015
0.2568 0.2442 0.0015
0.7432 0.7442 0.4985
0.7568 0.2558 0.9985
0.0221 0.1111 0.6794
0.4779 0.8889 0.1794
0.5221 0.3889 0.3206
0.9779 0.6111 0.8206
0.0007 0.6273 0.4163
0.0142 0.4213 0.9340
0.0944 0.2684 0.5429
0.2343 0.6469 0.7223
0.2412 0.9097 0.3029
0.2588 0.0903 0.8029
0.2657 0.3531 0.2223
0.4056 0.7316 0.0429
0.4858 0.5787 0.4340
0.4993 0.3727 0.9163
0.5007 0.8727 0.5837
0.5142 0.0787 0.0660
0.5944 0.2316 0.4571
0.7343 0.8531 0.2777
0.7412 0.5903 0.6971
0.7588 0.4097 0.1971
0.7657 0.1469 0.7777
0.9056 0.7684 0.9571
0.9858 0.9213 0.5660
0.9993 0.1273 0.0837
```

3.
Structure and calculated PXRD pattern of Al2Fe2Bi2O9 (a cell relaxed with GGA+U; a wavelength of 1.5418 Å).

Peak list (10 most intense, 10° ≤ 2θ ≤ 80°, in order of falling intensity)
2θ = 14.8°, intensity 100
2θ = 28.2°, intensity 97
2θ = 29.0°, intensity 85
2θ = 47.1°, intensity 48
2θ = 56.8°, intensity 44
2θ = 33.8°, intensity 44
2θ = 26.9°, intensity 41
2θ = 39.2°, intensity 40
2θ = 25.8°, intensity 36
2θ = 37.7°, intensity 34

Atomic structure:
```
Al2Fe2Bi2O9
1.0
7.9524 0.0000 0.0000
0.0000 8.4461 0.0000
0.0000 0.0000 5.9750
Al Fe Bi O
4 4 4 18
Direct
0.1434 0.1576 0.0000
0.3566 0.6576 0.0000
0.6434 0.3424 0.0000
0.8566 0.8424 0.0000
0.0000 0.5000 0.2367
0.0000 0.5000 0.7633
0.5000 0.0000 0.2367
0.5000 0.0000 0.7633
0.1820 0.8197 0.5000
0.3180 0.3197 0.5000
0.6820 0.6803 0.5000
0.8180 0.1803 0.5000
0.0000 0.0000 0.0000
0.1242 0.2825 0.2470
0.1242 0.2825 0.7530
0.1455 0.5893 0.0000
0.1540 0.5588 0.5000
0.3460 0.0588 0.5000
0.3545 0.0893 0.0000
0.3758 0.7825 0.2470
0.3758 0.7825 0.7530
0.5000 0.5000 0.0000
0.6242 0.2175 0.2470
0.6242 0.2175 0.7530
0.6455 0.9107 0.0000
0.6540 0.9412 0.5000
0.8460 0.4412 0.5000
0.8545 0.4107 0.0000
0.8758 0.7175 0.2470
0.8758 0.7175 0.7530
```

4.
Structure and calculated PXRD pattern of MgCo6O8F4 (a cell relaxed with GGA+U; a wavelength of 1.5418 Å).

Peak list (10 most intense, 10° ≤ 2θ ≤ 80°, in order of falling intensity)
2θ = 23.5°, intensity 100
2θ = 28.9°, intensity 83
2θ = 36.1°, intensity 53
2θ = 36.0°, intensity 29
2θ = 35.4°, intensity 24
2θ = 36.9°, intensity 22
2θ = 50.5°, intensity 20
2θ = 56.0°, intensity 20
2θ = 49.9°, intensity 20
2θ = 63.4°, intensity 17

Atomic structure:
```
MgCo6O8F4
1.0
5.6575 0.0000 0.0000
-2.4383 5.2882 0.0000
-1.0373 -2.9133 6.9037
Mg Co O F
1 6 8 4
Direct
0.0000 0.0000 0.0000
0.0157 0.5070 0.9940
0.0276 0.0135 0.4989
0.3641 0.5375 0.3509
0.3758 0.9672 0.8065
0.6577 0.1089 0.2275
0.7013 0.4790 0.6587
0.0522 0.1905 0.2966
0.2978 0.8640 0.0197
0.3924 0.1518 0.6331
0.6072 0.3698 0.3885
0.6509 0.8526 0.3553
0.7369 0.1618 0.9819
0.7623 0.6029 0.9231
0.9962 0.8377 0.7007
0.0998 0.6865 0.2971
0.2785 0.3795 0.0477
0.4372 0.6681 0.6352
0.9683 0.3160 0.6930
```

5.
Structure and calculated PXRD pattern of Zn2W9O13 (a cell relaxed with GGA+U; a wavelength of 1.5418 Å).

Peak list (10 most intense, 10° ≤ 2θ ≤ 80°, in order of falling intensity)
2θ = 33.8°, intensity 100
2θ = 32.8°, intensity 42
2θ = 24.8°, intensity 32
2θ = 35.9°, intensity 31
2θ = 30.1°, intensity 29
2θ = 42.7°, intensity 28
2θ = 38.8°, intensity 25
2θ = 16.7°, intensity 25
2θ = 32.2°, intensity 24
2θ = 37.9°, intensity 18

Atomic structure:
```
Zn2W9O13
1.0
3.1703 0.0000 0.0000
-0.9328 5.5104 0.0000
-0.4897 -0.4846 17.9197
Zn W O
2 9 13
Direct
0.1363 0.0262 0.2495
0.8637 0.9738 0.7505
0.0000 0.5000 0.0000
0.2341 0.8024 0.5526
0.3868 0.1192 0.9445
0.4319 0.2783 0.6165
0.4515 0.4558 0.8243
0.5485 0.5442 0.1757
0.5681 0.7217 0.3835
0.6132 0.8808 0.0555
0.7659 0.1976 0.4474
0.0077 0.5143 0.6258
0.0083 0.6798 0.7945
0.1252 0.8310 0.1441
0.1809 0.0137 0.3780
0.4188 0.2013 0.7303
0.4828 0.2885 0.0604
0.5000 0.5000 0.5000
0.5172 0.7115 0.9396
0.5812 0.7987 0.2697
0.8191 0.9863 0.6220
0.8748 0.1690 0.8559
0.9917 0.3202 0.2055
0.9923 0.4857 0.3742
```

6.
Structure and calculated PXRD pattern of Li4Cr3NiO8 (a cell relaxed with GGA+U; a wavelength of 1.5418 Å).

Peak list (10 most intense, 10° ≤ 2θ ≤ 80°, in order of falling intensity)
2θ = 18.4°, intensity 100
2θ = 43.4°, intensity 53
2θ = 35.7°, intensity 28
2θ = 43.5°, intensity 27
2θ = 63.1°, intensity 21
2θ = 37.4°, intensity 17
2θ = 63.1°, intensity 14
2θ = 35.8°, intensity 14
2θ = 47.6°, intensity 13
2θ = 57.4°, intensity 11

Atomic structure:
```
Li4Cr3NiO8
1.0
5.1006 0.0000 0.0000
-0.8457 5.0403 0.0000
-1.6864 -0.2939 5.6235
Li Cr Ni O
4 3 1 8
Direct
0.0003 0.2460 0.3776
0.9997 0.7540 0.6224
0.0053 0.7520 0.1283
0.9947 0.2480 0.8717
0.4984 0.4973 0.2521
0.5000 0.0000 0.0000
0.5016 0.5027 0.7479
0.5000 0.0000 0.5000
0.2698 0.6181 0.4448
0.2714 0.1354 0.1866
0.2772 0.1309 0.6960
0.2767 0.6300 0.9459
0.7233 0.3700 0.0541
0.7228 0.8691 0.3040
0.7286 0.8646 0.8134
0.7302 0.3819 0.5552
```

7.
Structure and calculated PXRD pattern of Mg3Fe2O7 (a cell relaxed with GGA+U; a wavelength of 1.5418 Å).

Peak list (10 most intense, 10° ≤ 2θ ≤ 80°, in order of falling intensity)
2θ = 35.1°, intensity 100
2θ = 24.4°, intensity 41
2θ = 62.9°, intensity 31
2θ = 20.2°, intensity 29
2θ = 33.0°, intensity 29
2θ = 48.9°, intensity 27
2θ = 28.4°, intensity 15
2θ = 53.0°, intensity 14
2θ = 52.1°, intensity 14
2θ = 53.5°, intensity 12

Atomic structure:
```
Mg3Fe2O7
1.0
8.7753 -2.5589 0.0000
8.7753 2.5589 0.0000
0.0000 0.0000 5.4298
Mg Fe O
6 4 14
Direct
0.0492 0.5662 0.6480
0.2350 0.7650 0.5000
0.4338 0.9508 0.6480
0.5662 0.0492 0.1480
0.7650 0.2350 0.0000
0.9508 0.4338 0.1480
0.1462 0.6450 0.0702
0.3550 0.8538 0.0702
0.6450 0.1462 0.5702
0.8538 0.3550 0.5702
0.0167 0.1400 0.2405
0.0768 0.3353 0.5189
0.1400 0.0167 0.7405
0.3165 0.4148 0.3759
0.3353 0.0768 0.0189
0.3803 0.6197 0.1269
0.4148 0.3165 0.8759
0.5852 0.6835 0.3759
0.6197 0.3803 0.6269
0.6647 0.9232 0.5189
0.6835 0.5852 0.8759
0.8600 0.9833 0.2405
0.9232 0.6647 0.0189
0.9833 0.8600 0.7405
```

8.
Structure and calculated PXRD pattern of MnO2 (a cell relaxed with GGA+U; a wavelength of 1.5418 Å).

Peak list (10 most intense, 10° ≤ 2θ ≤ 80°, in order of falling intensity)
2θ = 28.3°, intensity 100
2θ = 56.0°, intensity 31
2θ = 36.8°, intensity 29
2θ = 55.6°, intensity 28
2θ = 36.6°, intensity 25
2θ = 58.6°, intensity 16
2θ = 42.1°, intensity 14
2θ = 71.0°, intensity 11
2θ = 70.7°, intensity 11
2θ = 71.6°, intensity 9

Atomic structure:
```
MnO2
1.0
4.4284 0.0000 0.0000
0.0000 4.4877 0.0000
0.0000 0.0000 2.9282
Mn O
2 4
Direct
0.0000 0.0000 0.0000
0.5000 0.5000 0.5000
0.2043 0.1843 0.5000
0.2957 0.6843 0.0000
0.7043 0.3157 0.0000
0.7957 0.8157 0.5000
```

9.
Structure and calculated PXRD pattern of VPO4 (a cell relaxed with GGA+U; a wavelength of 1.5418 Å).

Peak list (10 most intense, 10° ≤ 2θ ≤ 80°, in order of falling intensity)
2θ = 12.4°, intensity 100
2θ = 27.6°, intensity 69
2θ = 12.8°, intensity 67
2θ = 24.4°, intensity 67
2θ = 31.3°, intensity 51
2θ = 36.5°, intensity 43
2θ = 18.4°, intensity 42
2θ = 35.0°, intensity 41
2θ = 23.2°, intensity 40
2θ = 24.8°, intensity 38

Atomic structure:
```
VPO4
1.0
8.7806 -2.5663 0.0000
8.7806 2.5663 0.0000
-7.7708 0.0000 13.8279
V P O
8 8 32
Direct
0.0000 0.5000 0.0000
0.0958 0.6826 0.5171
0.1639 0.8361 0.7500
0.3174 0.9042 0.9829
0.5000 0.0000 0.5000
0.6826 0.0958 0.0171
0.8361 0.1639 0.2500
0.9042 0.3174 0.4829
0.0109 0.5588 0.6433
0.2807 0.7046 0.3836
0.2954 0.7193 0.1164
0.4412 0.9891 0.8567
0.5588 0.0109 0.1433
0.7046 0.2807 0.8836
0.7193 0.2954 0.6164
0.9891 0.4412 0.3567
0.0656 0.5358 0.7417
0.0701 0.8306 0.2917
0.0781 0.6630 0.6341
0.0944 0.7305 0.0499
0.1694 0.9299 0.2083
0.1854 0.2736 0.5678
0.2066 0.6697 0.4347
0.2695 0.9056 0.4501
0.2736 0.1854 0.0678
0.2745 0.2794 0.9229
0.2794 0.2745 0.4229
0.3303 0.7934 0.0653
0.3370 0.9219 0.8659
0.4162 0.5790 0.6377
0.4210 0.5838 0.8623
0.4642 0.9344 0.7583
0.5358 0.0656 0.2417
0.5790 0.4162 0.1377
0.5838 0.4210 0.3623
0.6630 0.0781 0.1341
0.6697 0.2066 0.9347
0.7206 0.7255 0.5771
0.7255 0.7206 0.0771
0.7264 0.8146 0.9322
0.7305 0.0944 0.5499
0.7934 0.3303 0.5653
0.8146 0.7264 0.4322
0.8306 0.0701 0.7917
0.9056 0.2695 0.9501
0.9219 0.3370 0.3659
0.9299 0.1694 0.7083
0.9344 0.4642 0.2583
```

Question: What is the formula in the ninth record?
Answer: VPO4

Please write out number 9 again, unchanged.
Structure and calculated PXRD pattern of VPO4 (a cell relaxed with GGA+U; a wavelength of 1.5418 Å).

Peak list (10 most intense, 10° ≤ 2θ ≤ 80°, in order of falling intensity)
2θ = 12.4°, intensity 100
2θ = 27.6°, intensity 69
2θ = 12.8°, intensity 67
2θ = 24.4°, intensity 67
2θ = 31.3°, intensity 51
2θ = 36.5°, intensity 43
2θ = 18.4°, intensity 42
2θ = 35.0°, intensity 41
2θ = 23.2°, intensity 40
2θ = 24.8°, intensity 38

Atomic structure:
```
VPO4
1.0
8.7806 -2.5663 0.0000
8.7806 2.5663 0.0000
-7.7708 0.0000 13.8279
V P O
8 8 32
Direct
0.0000 0.5000 0.0000
0.0958 0.6826 0.5171
0.1639 0.8361 0.7500
0.3174 0.9042 0.9829
0.5000 0.0000 0.5000
0.6826 0.0958 0.0171
0.8361 0.1639 0.2500
0.9042 0.3174 0.4829
0.0109 0.5588 0.6433
0.2807 0.7046 0.3836
0.2954 0.7193 0.1164
0.4412 0.9891 0.8567
0.5588 0.0109 0.1433
0.7046 0.2807 0.8836
0.7193 0.2954 0.6164
0.9891 0.4412 0.3567
0.0656 0.5358 0.7417
0.0701 0.8306 0.2917
0.0781 0.6630 0.6341
0.0944 0.7305 0.0499
0.1694 0.9299 0.2083
0.1854 0.2736 0.5678
0.2066 0.6697 0.4347
0.2695 0.9056 0.4501
0.2736 0.1854 0.0678
0.2745 0.2794 0.9229
0.2794 0.2745 0.4229
0.3303 0.7934 0.0653
0.3370 0.9219 0.8659
0.4162 0.5790 0.6377
0.4210 0.5838 0.8623
0.4642 0.9344 0.7583
0.5358 0.0656 0.2417
0.5790 0.4162 0.1377
0.5838 0.4210 0.3623
0.6630 0.0781 0.1341
0.6697 0.2066 0.9347
0.7206 0.7255 0.5771
0.7255 0.7206 0.0771
0.7264 0.8146 0.9322
0.7305 0.0944 0.5499
0.7934 0.3303 0.5653
0.8146 0.7264 0.4322
0.8306 0.0701 0.7917
0.9056 0.2695 0.9501
0.9219 0.3370 0.3659
0.9299 0.1694 0.7083
0.9344 0.4642 0.2583
```